1.
# FeNi6W2
Theoretical PXRD pattern, Cu Kα (weighted mean of Kα1 and Kα2). Input: DFT lattice parameters and positions (PBE).
Intensities are scaled so that the largest is 1000.

Structure:
Cell: 11.0368 3.5730 5.7464 Å, 90.00 109.00 90.00°
Space group C2/m (No. 12)
Symmetry-distinct sites (fractional):
1 Fe 0.0000 0.0000 0.0000 (multiplicity 2)
2 Ni 0.1089 0.0000 0.6681 (multiplicity 4)
3 Ni 0.1679 0.5000 0.9992 (multiplicity 4)
4 Ni 0.2230 0.0000 0.3338 (multiplicity 4)
5 W 0.0594 0.5000 0.3170 (multiplicity 4)

Peak list (10 most intense, 10° ≤ 2θ ≤ 80°, in order of rising 2θ)
- hkl 2 0 0, 2θ = 16.99°, d 5.218, I 201
- hkl 1 1 0, 2θ = 26.37°, d 3.380, I 265
- hkl 4 0 -1, 2θ = 32.93°, d 2.720, I 122
- hkl 3 1 -2, 2θ = 43.15°, d 2.096, I 1000
- hkl 3 1 1, 2θ = 43.33°, d 2.088, I 984
- hkl 6 0 -1, 2θ = 49.56°, d 1.839, I 320
- hkl 0 0 3, 2θ = 50.39°, d 1.811, I 300
- hkl 0 2 0, 2θ = 51.13°, d 1.786, I 304
- hkl 6 2 -1, 2θ = 73.96°, d 1.282, I 184
- hkl 0 2 3, 2θ = 74.62°, d 1.272, I 188

2.
# Na3SeF8
Theoretical PXRD pattern, Cu Kα (weighted mean of Kα1 and Kα2). Input: DFT lattice parameters and positions (PBE).
Intensities are scaled so that the largest is 1000.

Structure:
Cell: 5.3164 5.3164 5.3164 Å, 90.00 90.00 90.00°
Space group Pm-3m (No. 221)
Symmetry-distinct sites (fractional):
1 Na 0.0000 0.0000 0.5000 (multiplicity 3)
2 Se 0.5000 0.5000 0.5000 (multiplicity 1)
3 F 0.2762 0.2762 0.2762 (multiplicity 8)

Peak list (10 most intense, 10° ≤ 2θ ≤ 80°, in order of rising 2θ)
- hkl 1 0 0, 2θ = 16.68°, d 5.316, I 708
- hkl 1 1 0, 2θ = 23.67°, d 3.759, I 318
- hkl 1 1 1, 2θ = 29.09°, d 3.069, I 842
- hkl 2 1 1, 2θ = 41.61°, d 2.170, I 104
- hkl 2 2 0, 2θ = 48.43°, d 1.880, I 1000
- hkl 2 2 1, 2θ = 51.57°, d 1.772, I 123
- hkl 3 1 1, 2θ = 57.49°, d 1.603, I 328
- hkl 3 2 0, 2θ = 63.05°, d 1.474, I 149
- hkl 4 0 0, 2θ = 70.91°, d 1.329, I 117
- hkl 3 3 1, 2θ = 78.41°, d 1.220, I 133

3.
# In2AgS4
Theoretical PXRD pattern, Cu Kα (weighted mean of Kα1 and Kα2). Input: DFT lattice parameters and positions (PBE).
Intensities are scaled so that the largest is 1000.

Structure:
Cell: 7.7170 7.7267 10.8785 Å, 90.00 90.00 90.00°
Space group Imma (No. 74)
Symmetry-distinct sites (fractional):
1 In 0.0000 0.0000 0.0000 (multiplicity 4)
2 In 0.2500 0.2500 0.2500 (multiplicity 4)
3 Ag 0.0000 0.2500 0.6253 (multiplicity 4)
4 S 0.0000 0.0160 0.2426 (multiplicity 8)
5 S 0.2342 0.2500 0.0073 (multiplicity 8)

Peak list (10 most intense, 10° ≤ 2θ ≤ 80°, in order of rising 2θ)
- hkl 1 0 1, 2θ = 14.06°, d 6.297, I 96
- hkl 2 0 0, 2θ = 23.07°, d 3.856, I 261
- hkl 1 0 3, 2θ = 27.12°, d 3.288, I 1000
- hkl 2 2 0, 2θ = 32.80°, d 2.730, I 172
- hkl 2 3 1, 2θ = 43.06°, d 2.101, I 311
- hkl 0 1 5, 2θ = 43.20°, d 2.094, I 118
- hkl 4 0 0, 2θ = 47.07°, d 1.930, I 210
- hkl 2 2 4, 2θ = 47.17°, d 1.927, I 419
- hkl 1 4 3, 2θ = 55.21°, d 1.664, I 111
- hkl 0 5 3, 2θ = 65.69°, d 1.421, I 95

4.
# Ce3AsS3
Theoretical PXRD pattern, Cu Kα (weighted mean of Kα1 and Kα2). Input: DFT lattice parameters and positions (PBE).
Intensities are scaled so that the largest is 1000.

Structure:
Cell: 8.6016 12.2104 7.4234 Å, 90.00 125.37 90.00°
Space group Cc (No. 9)
Symmetry-distinct sites (fractional):
1 Ce 0.0000 0.0634 0.0000 (multiplicity 4)
2 Ce 0.0559 0.3728 0.8737 (multiplicity 4)
3 Ce 0.3679 0.1870 0.7467 (multiplicity 4)
4 As 0.2306 0.4231 0.6234 (multiplicity 4)
5 S 0.2089 0.2504 0.2741 (multiplicity 4)
6 S 0.3078 0.0008 0.4727 (multiplicity 4)
7 S 0.4832 0.3258 0.1245 (multiplicity 4)

Peak list (10 most intense, 10° ≤ 2θ ≤ 80°, in order of rising 2θ)
- hkl 1 3 0, 2θ = 25.32°, d 3.518, I 437
- hkl 2 0 -2, 2θ = 25.44°, d 3.502, I 452
- hkl 0 4 1, 2θ = 32.92°, d 2.721, I 1000
- hkl 0 2 2, 2θ = 33.03°, d 2.712, I 165
- hkl 3 3 -1, 2θ = 39.11°, d 2.303, I 363
- hkl 2 2 -3, 2θ = 39.26°, d 2.295, I 258
- hkl 1 1 2, 2θ = 39.36°, d 2.289, I 132
- hkl 2 4 -3, 2θ = 47.27°, d 1.923, I 279
- hkl 3 5 -2, 2θ = 49.59°, d 1.838, I 153
- hkl 6 2 -3, 2θ = 67.02°, d 1.396, I 132